This entry pairs a crystal structure of Nd2Sn2IrPd3 with its simulated powder XRD pattern. Radiation: Cu Ka. Structure: a structure optimized by DFT (PBE).

Cell and atoms:
```
8
Lattice="4.6125 0.0000 0.0000 -2.3063 3.9946 0.0000 0.0000 0.0000 9.2888" Properties=species:S:1:pos:R:3 pbc="T T T"
Nd 0.0000 0.0000 0.0000
Nd 0.0000 2.6630 4.5705
Sn 2.3063 1.3315 2.4309
Sn 2.3063 1.3315 6.9657
Ir 0.0000 0.0000 3.0077
Pd 0.0000 0.0000 6.1919
Pd 0.0000 2.6630 1.4918
Pd 0.0000 2.6630 7.7162
```

Main lines, low angle first (10° ≤ 2θ ≤ 90°):
d (Å), 2θ/deg, Rel. int.
3.995, 22.25, 12
3.029, 29.49, 25
2.447, 36.72, 100
2.306, 39.06, 96
1.678, 54.69, 32
1.444, 64.56, 16
1.357, 69.23, 31
1.332, 70.76, 17



This entry pairs a crystal structure of CuF2 with its simulated powder XRD pattern. Radiation: Cu Ka. Structure: a structure optimized by DFT (PBE).

Cell and atoms:
```
6
Lattice="3.8247 0.0000 0.0000 -1.7493 4.3008 0.0000 -1.7877 -1.7854 4.1770" Properties=species:S:1:pos:R:3 pbc="T T T"
Cu -0.8810 0.6281 1.0433
Cu 1.1687 1.8872 3.1337
F -0.8938 -0.8927 2.0885
F -0.8746 2.1504 0.0000
F -0.7437 1.8808 3.1231
F 1.0315 0.6346 1.0538
```

Main lines, low angle first (10° ≤ 2θ ≤ 90°):
d (Å), 2θ/deg, Rel. int.
3.684, 24.16, 100
3.094, 28.85, 64
2.921, 30.61, 55
2.434, 36.94, 80
2.088, 43.32, 21
1.909, 47.64, 36
1.842, 49.48, 32
1.461, 63.69, 19



This entry pairs a crystal structure of Cu6Ag6Sb4SeS12 with its simulated powder XRD pattern. Radiation: Cu Ka. Structure: a structure optimized by DFT (PBE).

Cell and atoms:
```
29
Lattice="-5.4719 5.4719 5.4719 5.4719 -5.4719 5.4719 5.4719 5.4719 -5.4719" Properties=species:S:1:pos:R:3 pbc="T T T"
Cu 2.4244 0.0000 0.0000
Cu 8.5194 0.0000 0.0000
Cu 0.0000 2.4244 0.0000
Cu 0.0000 0.0000 2.4244
Cu 0.0000 8.5194 0.0000
Cu 0.0000 0.0000 8.5194
Ag 5.4719 2.7359 0.0000
Ag 5.4719 0.0000 2.7359
Ag 2.7359 5.4719 0.0000
Ag 2.7359 0.0000 5.4719
Ag 0.0000 5.4719 2.7359
Ag 0.0000 2.7359 5.4719
Sb 2.8290 2.8290 -2.8290
Sb 2.8290 -2.8290 2.8290
Sb 2.6429 2.6429 2.6429
Sb -2.8290 2.8290 2.8290
Se 0.0000 0.0000 0.0000
S 3.8110 1.2318 -1.2318
S 3.8110 -1.2318 1.2318
S 7.1328 1.2318 1.2318
S 1.2318 3.8110 -1.2318
S 1.2318 -1.2318 3.8110
S -1.2318 3.8110 1.2318
S -1.2318 1.2318 3.8110
S 4.2401 4.2401 1.6609
S 4.2401 1.6609 4.2401
S 1.2318 7.1328 1.2318
S 1.2318 1.2318 7.1328
S 1.6609 4.2401 4.2401
```

Main lines, low angle first (10° ≤ 2θ ≤ 90°):
d (Å), 2θ/deg, Rel. int.
4.468, 19.87, 10
3.159, 28.25, 100
2.736, 32.73, 35
1.935, 46.97, 55
1.650, 55.71, 36
1.255, 75.77, 13
1.224, 78.11, 10
1.117, 87.29, 13



This entry pairs a crystal structure of KGaSnPt with its simulated powder XRD pattern. Radiation: Cu Ka. Structure: a structure optimized by DFT (PBE).

Cell and atoms:
```
16
Lattice="12.6780 0.0000 0.0000 0.0000 4.3656 0.0000 -0.2455 0.0000 7.6097" Properties=species:S:1:pos:R:3 pbc="T T T"
K 0.5534 0.0000 1.9886
K 5.5402 2.1828 5.6211
K 6.8923 2.1828 1.9886
K 11.8792 0.0000 5.6211
Ga 2.3256 2.1828 4.2678
Ga 3.7679 0.0000 3.3419
Ga 8.6646 0.0000 4.2678
Ga 10.1069 2.1828 3.3419
Sn 1.8239 2.1828 7.2029
Sn 4.2697 0.0000 0.4068
Sn 8.1629 0.0000 7.2029
Sn 10.6087 2.1828 0.4068
Pt 2.5845 0.0000 5.6164
Pt 3.5090 2.1828 1.9933
Pt 8.9235 2.1828 5.6164
Pt 9.8480 0.0000 1.9933
```

Main lines, low angle first (10° ≤ 2θ ≤ 90°):
d (Å), 2θ/deg, Rel. int.
6.336, 13.98, 100
3.644, 24.43, 21
2.892, 30.92, 26
2.842, 31.48, 27
2.183, 41.36, 20
2.171, 41.59, 22
2.151, 42.00, 23
1.923, 47.26, 22



This entry pairs a crystal structure of Ag2SnP2 with its simulated powder XRD pattern. Radiation: Cu Ka. Structure: a structure optimized by DFT (PBE).

Cell and atoms:
```
10
Lattice="1.6076 -5.8423 0.0000 1.6076 5.8423 0.0000 0.0000 0.0000 11.5168" Properties=species:S:1:pos:R:3 pbc="T T T"
Ag 0.0000 0.0000 0.0000
Ag 0.0000 0.0000 5.7584
Ag 1.6076 3.1838 8.6376
Ag 1.6076 -3.1838 2.8792
Sn 1.6076 0.2752 8.6376
Sn 1.6076 -0.2752 2.8792
P 1.6076 3.4663 6.2505
P 1.6076 3.4663 11.0248
P 1.6076 -3.4663 0.4921
P 1.6076 -3.4663 5.2663
```

Main lines, low angle first (10° ≤ 2θ ≤ 90°):
d (Å), 2θ/deg, Rel. int.
2.994, 29.85, 50
2.921, 30.60, 62
2.879, 31.06, 76
2.831, 31.60, 21
2.730, 32.81, 100
2.277, 39.57, 58
2.051, 44.17, 41
1.518, 61.05, 22



This entry pairs a crystal structure of TbDy2In3Cu3 with its simulated powder XRD pattern. Radiation: Cu Ka. Structure: a structure optimized by DFT (PBE).

Cell and atoms:
```
9
Lattice="3.8605 0.0000 0.0000 0.0000 6.5338 3.7712 0.0000 -6.5338 3.7712" Properties=species:S:1:pos:R:3 pbc="T T T"
Tb 0.0000 0.0000 0.0000
Dy 0.0000 -2.6665 4.6197
Dy 0.0000 2.6665 4.6197
In 1.9303 -1.6814 2.1136
In 1.9303 1.6814 2.1136
In 1.9303 0.0000 5.0169
Cu 0.0000 0.0000 3.0828
Cu 1.9303 -4.3504 3.0800
Cu 1.9303 4.3504 3.0800
```

Main lines, low angle first (10° ≤ 2θ ≤ 90°):
d (Å), 2θ/deg, Rel. int.
2.698, 33.21, 100
2.494, 36.02, 70
2.469, 36.39, 50
2.178, 41.47, 26
1.930, 47.08, 20
1.640, 56.07, 21
1.521, 60.92, 22
1.397, 66.98, 25



This entry pairs a crystal structure of Bi5Au4 with its simulated powder XRD pattern. Radiation: Cu Ka. Structure: a structure optimized by DFT (PBE).

Cell and atoms:
```
9
Lattice="5.8089 0.0000 0.0000 -2.9045 5.0307 0.0000 0.0000 0.0000 8.5214" Properties=species:S:1:pos:R:3 pbc="T T T"
Bi 0.0000 0.0000 0.0000
Bi 0.0000 3.3538 2.6077
Bi 0.0000 3.3538 5.9137
Bi 2.9045 1.6769 2.6077
Bi 2.9045 1.6769 5.9137
Au 0.0000 0.0000 4.2607
Au -1.4522 2.5153 0.0000
Au 2.9045 0.0000 0.0000
Au 1.4522 2.5153 0.0000
```

Main lines, low angle first (10° ≤ 2θ ≤ 90°):
d (Å), 2θ/deg, Rel. int.
8.521, 10.38, 26
3.251, 27.43, 47
2.904, 30.78, 69
2.840, 31.50, 36
2.473, 36.32, 25
2.412, 37.27, 44
2.166, 41.70, 100
1.452, 64.13, 28



This entry pairs a crystal structure of RbNdCdS3 with its simulated powder XRD pattern. Radiation: Cu Ka. Structure: a structure optimized by DFT (PBE).

Cell and atoms:
```
12
Lattice="8.7510 -2.1130 0.0000 8.7510 2.1130 0.0000 -2.1812 0.0000 8.8604" Properties=species:S:1:pos:R:3 pbc="T T T"
Rb 2.3866 0.0000 0.5911
Rb 12.9343 0.0000 8.2692
Nd 1.6868 0.0000 5.2041
Nd 13.6342 0.0000 3.6562
Cd 8.0767 0.0000 2.4729
Cd 7.2443 0.0000 6.3874
S -1.0906 0.0000 4.4302
S 4.5012 0.0000 5.5779
S 5.4845 0.0000 1.9234
S 8.7510 0.0000 0.0000
S 9.8364 0.0000 6.9370
S 10.8197 0.0000 3.2825
```

Main lines, low angle first (10° ≤ 2θ ≤ 90°):
d (Å), 2θ/deg, Rel. int.
3.592, 24.79, 26
3.515, 25.34, 26
3.387, 26.31, 58
3.100, 28.80, 100
2.832, 31.59, 43
2.113, 42.80, 21
2.107, 42.92, 27
2.075, 43.61, 27



This entry pairs a crystal structure of MgCo6SbAs3 with its simulated powder XRD pattern. Radiation: Cu Ka. Structure: a structure optimized by DFT (PBE).

Cell and atoms:
```
11
Lattice="7.0136 0.0000 0.0000 -3.5068 6.0740 0.0000 0.0000 0.0000 3.5295" Properties=species:S:1:pos:R:3 pbc="T T T"
Mg 0.0000 0.0000 0.0000
Co 0.0000 2.3052 1.7647
Co -1.5104 4.9214 1.7647
Co 3.5068 0.5104 0.0000
Co 2.1954 2.7818 0.0000
Co 1.5104 4.9214 1.7647
Co 4.8182 2.7818 0.0000
Sb 0.0000 4.0493 0.0000
As 1.9676 1.1360 1.7647
As 5.0460 1.1360 1.7647
As 3.5068 3.8019 1.7647
```

Main lines, low angle first (10° ≤ 2θ ≤ 90°):
d (Å), 2θ/deg, Rel. int.
6.074, 14.58, 43
2.488, 36.11, 54
2.302, 39.13, 70
2.296, 39.24, 37
1.924, 47.23, 100
1.765, 51.81, 31
1.754, 52.13, 70
1.244, 76.60, 28



This entry pairs a crystal structure of Cu2Ag3 with its simulated powder XRD pattern. Radiation: Cu Ka. Structure: a structure optimized by DFT (PBE).

Cell and atoms:
```
10
Lattice="2.8366 0.0000 0.0000 0.0000 2.8366 0.0000 0.0000 0.0000 19.2253" Properties=species:S:1:pos:R:3 pbc="T T T"
Cu 0.0000 0.0000 0.0000
Cu 0.0000 0.0000 3.7118
Cu 0.0000 0.0000 15.5135
Cu 1.4183 1.4183 9.6126
Ag 0.0000 0.0000 7.7604
Ag 0.0000 0.0000 11.4649
Ag 1.4183 1.4183 1.8673
Ag 1.4183 1.4183 5.5782
Ag 1.4183 1.4183 13.6471
Ag 1.4183 1.4183 17.3580
```

Main lines, low angle first (10° ≤ 2θ ≤ 90°):
d (Å), 2θ/deg, Rel. int.
2.283, 39.48, 100
2.006, 45.21, 35
1.923, 47.28, 13
1.418, 65.85, 10
1.388, 67.48, 17
1.205, 79.57, 23
1.168, 82.61, 8
1.141, 84.98, 9



This entry pairs a crystal structure of SmAsHO4 with its simulated powder XRD pattern. Radiation: Cu Ka. Structure: a structure optimized by DFT (PBE).

Cell and atoms:
```
14
Lattice="4.9798 0.0000 0.0000 0.0000 5.6043 0.0000 -0.5110 0.0000 5.5764" Properties=species:S:1:pos:R:3 pbc="T T T"
Sm -0.1277 1.3682 1.3941
Sm -0.3832 4.2361 4.1823
As 2.1067 1.8396 4.1823
As 2.3622 3.7647 1.3941
H 2.4899 0.0000 0.0000
H 2.2344 0.0000 2.7882
O 0.6696 2.3497 5.3184
O 0.9251 3.2546 2.5302
O 1.2088 0.5026 3.2155
O 1.4643 5.1017 0.4273
O 3.0045 0.5026 5.1491
O 3.2600 5.1017 2.3609
O 3.5438 2.3497 3.0463
O 3.7993 3.2546 0.2580
```

Main lines, low angle first (10° ≤ 2θ ≤ 90°):
d (Å), 2θ/deg, Rel. int.
3.193, 27.94, 100
2.998, 29.80, 85
2.802, 31.94, 18
2.788, 32.10, 23
1.976, 45.91, 24
1.943, 46.75, 20
1.857, 49.06, 21
1.773, 51.55, 21



This entry pairs a crystal structure of Cs2PuCu2Te4 with its simulated powder XRD pattern. Radiation: Cu Ka. Structure: a structure optimized by DFT (PBE).

Cell and atoms:
```
9
Lattice="3.2583 -7.5603 0.0000 3.2583 7.5603 0.0000 0.0000 0.0000 6.5152" Properties=species:S:1:pos:R:3 pbc="T T T"
Cs 1.6291 3.7801 1.6241
Cs 1.6291 -3.7801 4.8911
Pu 0.0000 0.0000 3.2576
Cu 0.0000 0.0000 0.0000
Cu 3.2583 0.0000 3.2576
Te 1.7670 1.4513 5.0240
Te 1.7670 -1.4513 1.4912
Te 4.7496 1.4513 1.4912
Te 4.7496 -1.4513 5.0240
```

Main lines, low angle first (10° ≤ 2θ ≤ 90°):
d (Å), 2θ/deg, Rel. int.
7.560, 11.71, 23
3.401, 26.21, 100
2.992, 29.86, 28
2.468, 36.41, 17
2.304, 39.10, 40
1.993, 45.50, 46
1.907, 47.68, 37
1.261, 75.35, 19



This entry pairs a crystal structure of Sm2Ga9NiGe2 with its simulated powder XRD pattern. Radiation: Cu Ka. Structure: a structure optimized by DFT (PBE).

Cell and atoms:
```
28
Lattice="5.9927 0.0000 0.0000 0.0000 5.9927 0.0000 0.0000 0.0000 15.0187" Properties=species:S:1:pos:R:3 pbc="T T T"
Sm 1.4982 4.4945 3.6820
Sm 1.4982 4.4945 11.3367
Sm 4.4945 1.4982 3.6820
Sm 4.4945 1.4982 11.3367
Ga 0.1189 0.1189 1.3019
Ga 0.1189 2.8775 1.3019
Ga 0.1714 0.1714 6.2469
Ga 0.1714 2.8249 6.2469
Ga 1.4982 1.4982 9.8360
Ga 2.8249 0.1714 6.2469
Ga 2.8249 2.8249 6.2469
Ga 2.8775 0.1189 1.3019
Ga 2.8775 2.8775 1.3019
Ga 3.1153 3.1153 13.7168
Ga 3.1153 5.8738 13.7168
Ga 3.1678 3.1678 8.7718
Ga 3.1678 5.8213 8.7718
Ga 4.4945 4.4945 5.1827
Ga 5.8213 3.1678 8.7718
Ga 5.8213 5.8213 8.7718
Ga 5.8738 3.1153 13.7168
Ga 5.8738 5.8738 13.7168
Ni 1.4982 4.4945 0.0000
Ni 4.4945 1.4982 0.0000
Ge 1.4982 1.4982 3.5138
Ge 1.4982 1.4982 12.3218
Ge 4.4945 4.4945 2.6969
Ge 4.4945 4.4945 11.5049
```

Main lines, low angle first (10° ≤ 2θ ≤ 90°):
d (Å), 2θ/deg, Rel. int.
2.810, 31.84, 33
2.783, 32.16, 100
2.503, 35.88, 24
2.342, 38.44, 65
2.119, 42.67, 73
1.617, 56.94, 22
1.498, 61.94, 20
1.319, 71.52, 17